Entry 1:
Computed X-ray powder pattern
Compound: Pm2Ho12Er5
Radiation: copper Kα
Structure: a structure optimized by DFT (GGA-PBE)

Atomic structure:
```
Pm2Ho12Er5
1.0
6.1141 0.0000 0.0000
0.3962 9.9277 0.0000
1.0478 4.1431 9.8744
Pm Ho Er
2 12 5
Cartesian
1.6134 4.7450 0.5195
5.9448 9.3259 9.3549
0.6575 2.9401 3.4755
1.9715 12.3674 9.8100
1.4628 4.4248 6.6432
3.1108 8.6425 4.6128
3.5821 6.6536 8.2354
3.6569 10.0513 7.4528
3.9012 4.0196 2.4216
3.9760 7.4172 1.6390
4.4474 5.4283 5.2616
6.0953 9.6460 3.2312
5.5866 1.7034 0.0645
6.9006 11.1307 6.3989
1.0240 6.3082 3.3655
2.6041 0.8131 1.5910
3.5809 2.0716 4.9372
4.9540 13.2577 8.2834
6.5341 7.7627 6.5089
```

Top 10 peaks for 10 to 90 degrees two-theta, in order of falling intensity:
2theta	I (rel.)
32.82	100
32.03	94
31.33	86
28.12	30
30.39	29
29.69	26
35.55	24
59.96	17
32.51	17
34.79	16


Entry 2:
Computed X-ray powder pattern
Compound: Pm12Ho7Er
Radiation: copper Kα
Structure: a structure optimized by DFT (GGA-PBE)

Atomic structure:
```
Pm12Ho7Er
1.0
9.7951 5.6552 2.0617
-9.7951 5.6552 2.0617
0.0000 -11.3104 2.0617
Pm Ho Er
12 7 1
Cartesian
5.7478 1.3488 4.1228
-5.7478 -1.3488 2.0623
-3.4642 1.9929 1.2622
0.0062 -3.9965 1.2622
4.0420 -4.3033 2.0623
-1.7058 -5.6521 4.1228
3.4580 2.0036 1.2622
-3.4580 -2.0036 4.9229
-4.0420 4.3033 4.1228
1.7058 5.6521 2.0623
-0.0061 3.9965 4.9229
3.4642 -1.9930 4.9229
0.0000 0.0000 0.0000
-2.3873 -1.3849 1.8123
-0.0057 2.7599 1.8123
2.3930 -1.3750 1.8123
-2.3930 1.3750 4.3729
0.0057 -2.7599 4.3729
2.3873 1.3849 4.3729
0.0000 0.0000 3.0926
```

Top 10 peaks for 10 to 90 degrees two-theta, in order of falling intensity:
2theta	I (rel.)
30.04	100
32.76	47
32.97	46
27.31	43
30.77	42
39.42	40
39.95	26
46.35	26
34.71	25
29.36	25


Entry 3:
Computed X-ray powder pattern
Compound: PmHo6Er6
Radiation: copper Kα
Structure: a structure optimized by DFT (GGA-PBE)

Atomic structure:
```
PmHo6Er6
1.0
6.5676 0.0000 0.0000
-3.2838 5.6877 0.0000
0.0000 0.0000 11.3943
Pm Ho Er
1 6 6
Cartesian
0.0000 0.0000 0.0000
-1.6419 2.8439 2.7808
-1.6419 2.8439 8.6135
3.2838 0.0000 2.7808
3.2838 0.0000 8.6135
1.6419 2.8439 2.7808
1.6419 2.8439 8.6135
0.0000 0.0000 3.9960
0.0000 0.0000 7.3982
0.0000 3.7918 0.0000
0.0000 3.7918 5.6971
3.2838 1.8959 0.0000
3.2838 1.8959 5.6971
```

Top 10 peaks for 10 to 90 degrees two-theta, in order of falling intensity:
2theta	I (rel.)
31.44	100
35.26	78
55.97	40
27.16	23
65.61	18
28.25	16
50.74	16
53.39	13
70.14	9
78.94	9


Entry 4:
Computed X-ray powder pattern
Compound: Pm19Ho6Er4
Radiation: copper Kα
Structure: a structure optimized by DFT (GGA-PBE)

Atomic structure:
```
Pm19Ho6Er4
1.0
-6.3028 6.3028 6.3028
6.3028 -6.3028 6.3028
6.3028 6.3028 -6.3028
Pm Ho Er
19 6 4
Cartesian
0.0000 0.0000 0.0000
3.2788 0.0000 0.0000
9.3268 0.0000 0.0000
7.0918 -2.7629 3.0029
3.5399 3.3000 -0.7890
3.3000 -0.7890 3.5399
0.0000 3.2788 0.0000
0.0000 0.0000 3.2788
9.0657 3.3000 0.7890
3.0029 7.0918 -2.7629
5.5139 2.7629 3.0029
-0.7890 3.5399 3.3000
3.0029 5.5139 2.7629
2.7629 3.0029 5.5139
0.0000 9.3268 0.0000
0.0000 0.0000 9.3268
3.3000 0.7890 9.0657
-2.7629 3.0029 7.0918
0.7890 9.0657 3.3000
6.3028 0.0000 1.5800
6.3028 4.7228 0.0000
1.5800 6.3028 0.0000
4.7228 0.0000 6.3028
0.0000 1.5800 6.3028
0.0000 6.3028 4.7228
4.0383 4.0383 -4.0383
4.0383 -4.0383 4.0383
2.2645 2.2645 2.2645
-4.0383 4.0383 4.0383
```

Top 10 peaks for 10 to 90 degrees two-theta, in order of falling intensity:
2theta	I (rel.)
30.08	100
36.34	71
28.32	53
26.46	49
34.87	39
59.58	27
53.41	25
60.57	23
41.78	21
33.34	18


Entry 5:
Computed X-ray powder pattern
Compound: Pm6Ho8Er
Radiation: copper Kα
Structure: a structure optimized by DFT (GGA-PBE)

Atomic structure:
```
Pm6Ho8Er
1.0
4.5366 2.6192 6.9175
-4.5366 2.6192 6.9175
0.0000 -5.2384 6.9175
Pm Ho Er
6 8 1
Cartesian
-2.5648 -2.1274 9.4786
-3.1248 1.1575 11.2738
0.5600 -3.2849 11.2738
-0.5600 3.2849 9.4786
3.1248 -1.1575 9.4786
2.5648 2.1274 11.2738
0.0000 0.0000 1.5952
-1.7812 0.8772 7.4592
0.1309 -1.9811 7.4592
-1.6503 -1.1040 13.2933
1.6502 1.1040 7.4592
-0.1309 1.9811 13.2932
1.7812 -0.8772 13.2932
0.0000 0.0000 19.1572
0.0000 0.0000 10.3762
```

Top 10 peaks for 10 to 90 degrees two-theta, in order of falling intensity:
2theta	I (rel.)
31.34	100
32.27	30
30.40	19
36.69	15
52.91	12
60.07	12
34.81	11
53.86	9
55.19	8
32.55	8


Entry 6:
Computed X-ray powder pattern
Compound: PmHo5Er6
Radiation: copper Kα
Structure: a structure optimized by DFT (GGA-PBE)

Atomic structure:
```
PmHo5Er6
1.0
3.0530 -5.2823 0.0000
3.0530 5.2823 0.0000
-2.0268 0.0000 11.4976
Pm Ho Er
1 5 6
Cartesian
0.0000 0.0000 0.0000
2.0396 3.5193 5.7488
3.0530 1.7611 0.0000
2.0396 0.0000 5.7488
3.0530 -1.7611 0.0000
2.0396 -3.5193 5.7488
1.0185 1.7634 2.8890
0.0124 0.0000 8.6107
1.0185 -1.7634 2.8890
3.0608 1.7634 8.6086
4.0668 0.0000 2.8869
3.0608 -1.7634 8.6086
```

Top 10 peaks for 10 to 90 degrees two-theta, in order of falling intensity:
2theta	I (rel.)
31.10	100
36.06	51
51.92	36
61.76	36
84.84	16
64.84	12
87.55	8
87.64	8
61.80	7
76.49	6


Entry 7:
Computed X-ray powder pattern
Compound: Pm2Ho7Er3
Radiation: copper Kα
Structure: a structure optimized by DFT (GGA-PBE)

Atomic structure:
```
Pm2Ho7Er3
1.0
6.2993 0.0000 0.0000
0.0000 3.4991 0.0000
-1.8772 0.0000 17.2359
Pm Ho Er
2 7 3
Cartesian
0.0503 0.0000 2.9865
4.3719 0.0000 14.2494
-0.9386 1.7495 8.6180
0.1846 0.0000 11.4946
-0.2610 0.0000 17.2118
1.0975 1.7495 5.8037
3.3246 1.7495 11.4322
4.6832 0.0000 0.0241
4.2376 0.0000 5.7413
1.2660 1.7495 14.5235
2.2111 0.0000 8.6180
3.1561 1.7495 2.7125
```

Top 10 peaks for 10 to 90 degrees two-theta, in order of falling intensity:
2theta	I (rel.)
31.59	100
31.13	95
31.01	82
35.10	79
34.06	64
29.97	60
53.31	38
50.71	37
62.12	27
38.33	25


Entry 8:
Computed X-ray powder pattern
Compound: Pm5Ho2Er6
Radiation: copper Kα
Structure: a structure optimized by DFT (GGA-PBE)

Atomic structure:
```
Pm5Ho2Er6
1.0
11.5935 0.0000 0.0000
0.0000 20.4183 0.0000
0.0000 0.0000 3.5750
Pm Ho Er
10 4 12
Cartesian
0.0000 0.0000 0.0000
0.9664 5.5651 0.0000
2.3048 11.2379 0.0000
3.4919 1.0287 0.0000
4.8303 15.7742 0.0000
5.7967 10.2092 0.0000
6.7631 4.6441 0.0000
8.1015 19.3896 0.0000
9.2887 9.1805 0.0000
10.6271 14.8533 0.0000
1.9891 14.5017 1.7875
3.8076 4.2925 1.7875
7.7858 16.1259 1.7875
9.6044 5.9167 1.7875
0.7104 8.5488 1.7875
0.9298 2.6817 1.7875
2.0331 17.5984 0.0000
3.7637 7.3892 0.0000
4.8669 12.8909 1.7875
5.0864 18.7580 1.7875
6.5071 1.6604 1.7875
6.7265 7.5275 1.7875
7.8298 13.0291 0.0000
9.5604 2.8199 0.0000
10.6637 17.7366 1.7875
10.8831 11.8695 1.7875
```

Top 10 peaks for 10 to 90 degrees two-theta, in order of falling intensity:
2theta	I (rel.)
32.22	100
31.17	69
31.63	66
31.51	57
34.31	40
36.70	37
57.13	26
61.09	25
51.10	24
35.14	22


Entry 9:
Computed X-ray powder pattern
Compound: Pm7Ho16Er6
Radiation: copper Kα
Structure: a structure optimized by DFT (GGA-PBE)

Atomic structure:
```
Pm7Ho16Er6
1.0
0.0000 7.8854 7.8854
7.8854 0.0000 7.8854
7.8854 7.8854 0.0000
Pm Ho Er
7 16 6
Cartesian
0.0000 0.0000 0.0000
3.9427 3.9427 0.0000
3.9427 0.0000 3.9427
7.8854 3.9427 3.9427
0.0000 3.9427 3.9427
3.9427 7.8854 3.9427
3.9427 3.9427 7.8854
10.2328 5.5380 5.5380
2.0268 2.0268 2.0268
5.8586 5.8586 2.0268
5.8586 2.0268 5.8586
5.5380 5.5380 5.5380
10.2328 10.2328 5.5380
10.2328 5.5380 10.2328
13.7441 9.9122 9.9122
2.0268 5.8586 5.8586
5.5380 10.2328 5.5380
5.5380 5.5380 10.2328
10.2328 10.2328 10.2328
9.9122 13.7441 9.9122
9.9122 9.9122 13.7441
13.7441 13.7441 13.7441
5.5380 10.2328 10.2328
7.8854 7.8854 4.0741
7.8854 4.0741 7.8854
11.6967 7.8854 7.8854
4.0741 7.8854 7.8854
7.8854 11.6967 7.8854
7.8854 7.8854 11.6967
```

Top 10 peaks for 10 to 90 degrees two-theta, in order of falling intensity:
2theta	I (rel.)
32.11	100
57.23	28
46.04	15
76.39	8
67.15	8
25.25	6
27.71	6
29.43	5
36.02	5
34.11	5


Entry 10:
Computed X-ray powder pattern
Compound: Pm4Ho5Er
Radiation: copper Kα
Structure: a structure optimized by DFT (GGA-PBE)

Atomic structure:
```
Pm4Ho5Er
1.0
-5.3229 5.3229 2.9620
5.3229 -5.3229 2.9620
5.3229 5.3229 -2.9620
Pm Ho Er
4 5 1
Cartesian
3.4392 0.0000 0.0000
7.2067 0.0000 0.0000
0.0000 3.4392 0.0000
0.0000 7.2067 0.0000
0.0000 0.0000 1.4222
3.3137 3.3137 0.0155
2.0093 -2.0093 2.9775
-2.0093 2.0093 2.9775
2.0093 2.0093 2.9775
0.0000 0.0000 4.5260
```

Top 10 peaks for 10 to 90 degrees two-theta, in order of falling intensity:
2theta	I (rel.)
29.34	100
35.78	43
34.66	20
60.38	18
53.07	16
30.17	13
51.51	13
32.48	13
59.47	13
49.10	12


Entry 11:
Computed X-ray powder pattern
Compound: Pm3HoEr3
Radiation: copper Kα
Structure: a structure optimized by DFT (GGA-PBE)

Atomic structure:
```
Pm3HoEr3
1.0
9.5869 0.0000 0.0000
-4.7934 8.3025 0.0000
0.0000 0.0000 5.7171
Pm Ho Er
6 2 6
Cartesian
-3.3953 6.6941 1.4293
0.6939 2.0150 1.4293
2.0920 0.4066 4.2879
2.7015 7.8959 1.4293
4.0996 6.2875 4.2879
8.1888 1.6084 4.2879
0.0000 5.5350 1.4293
4.7934 2.7675 4.2879
-2.0437 5.1195 4.2879
1.3817 3.9728 4.2879
4.1314 0.7899 1.4293
0.6620 7.5126 4.2879
3.4118 4.3296 1.4293
6.8371 3.1830 1.4293
```

Top 10 peaks for 10 to 90 degrees two-theta, in order of falling intensity:
2theta	I (rel.)
32.55	100
31.29	25
28.44	24
60.50	23
56.50	21
50.37	20
61.26	16
42.79	16
83.18	14
86.79	8